The following is a computed X-ray diffraction stick pattern of V7O13. It was derived from a DFT-relaxed cell (PBE+U, the Materials Project), using CuKα.
Intensities are scaled so that the largest is 100.

```
data_V7O13
_cell_length_a 5.549
_cell_length_b 7.120
_cell_length_c 11.435
_cell_angle_alpha 83.02
_cell_angle_beta 89.85
_cell_angle_gamma 72.00
_space_group_name_H-M_alt 'P -1'
_space_group_IT_number 2
loop_
_space_group_symop_operation_xyz
'x,y,z'
'-x,-y,-z'
loop_
_atom_site_label
_atom_site_fract_x
_atom_site_fract_y
_atom_site_fract_z
_atom_site_occupancy
V1 0.000 0.000 0.000 1
V2 0.000 0.500 0.000 1
V3 0.202 0.286 0.559 1
V4 0.207 0.482 0.286 1
V5 0.207 0.988 0.298 1
V6 0.211 0.784 0.555 1
V7 0.385 0.763 0.852 1
V8 0.410 0.251 0.859 1
O1 0.025 0.426 0.829 1
O2 0.048 0.571 0.592 1
O3 0.125 0.726 0.943 1
O4 0.130 0.731 0.379 1
O5 0.156 0.862 0.707 1
O6 0.191 0.056 0.476 1
O7 0.243 0.902 0.138 1
O8 0.289 0.036 0.893 1
O9 0.335 0.213 0.246 1
O10 0.363 0.326 0.011 1
O11 0.418 0.194 0.678 1
O12 0.456 0.335 0.443 1
O13 0.499 0.491 0.797 1
```

Peak list (6 most intense, 2θ = 15–90°, by angle)
| 2theta | I (rel.) | h k l |
| --- | --- | --- |
| 26.7 | 68 | 1 2 0 |
| 28.6 | 71 | 1 2 -1 |
| 29.6 | 100 | 1 0 3 |
| 35.4 | 41 | 1 0 -4 |
| 35.9 | 39 | -1 2 1 |
| 54.6 | 45 | 1 4 3 |